No. 1
This entry pairs a crystal structure of Li2Mg with its calculated powder X-ray diffraction pattern. Radiation: a wavelength of 1.5418 Å. Structure: a structure optimized by DFT (GGA-PBE).

Main lines, low angle first (2θ = 10–90°):
2theta, I_rel
17.5, 50
20.2, 27
22.6, 20
33.7, 43
35.5, 31
38.3, 100
49.8, 29
60.3, 15
65.6, 19
72.0, 17

Cell: 5.914 5.914 5.914 Å, 53.40 53.40 53.40°
Fractional coordinates of all 6 atoms:
Li  0.000  0.000  0.000
Li  0.167  0.833  0.500
Li  0.500  0.167  0.833
Li  0.833  0.500  0.167
Mg  0.333  0.333  0.333
Mg  0.667  0.667  0.667

=====

No. 2
This entry pairs a crystal structure of ErInPb2Br8 with its calculated powder X-ray diffraction pattern. Radiation: a wavelength of 1.5418 Å. Structure: a structure optimized by DFT (GGA-PBE).

Main lines, low angle first (2θ = 10–90°):
2theta, I_rel
17.7, 100
18.0, 99
23.3, 89
26.3, 68
34.0, 39
34.3, 40
34.8, 74
35.1, 84
39.1, 42
42.4, 72

Cell: 6.851 9.207 7.224 Å, 90.00 90.96 90.00°
Fractional coordinates of all 12 atoms:
Er  0.000  0.000  0.000
In  0.000  0.500  0.000
Pb  0.500  0.250  0.500
Pb  0.500  0.750  0.500
Br  0.235  0.217  0.154
Br  0.235  0.783  0.154
Br  0.237  0.000  0.683
Br  0.270  0.500  0.639
Br  0.730  0.500  0.361
Br  0.763  0.000  0.317
Br  0.765  0.217  0.846
Br  0.765  0.783  0.846

=====

No. 3
This entry pairs a crystal structure of LiCe3Te4 with its calculated powder X-ray diffraction pattern. Radiation: a wavelength of 1.5418 Å. Structure: a structure optimized by DFT (GGA-PBE).

Main lines, low angle first (2θ = 10–90°):
2theta, I_rel
28.2, 51
28.3, 100
40.2, 19
40.4, 77
40.7, 19
49.8, 20
50.3, 20
66.1, 18
66.3, 17
73.2, 19

Cell: 4.431 6.328 8.970 Å, 90.00 90.00 90.00°
Fractional coordinates of all 8 atoms:
Li  0.000  0.000  0.000
Ce  0.000  0.000  0.500
Ce  0.500  0.500  0.252
Ce  0.500  0.500  0.748
Te  0.000  0.500  0.000
Te  0.000  0.500  0.500
Te  0.500  0.000  0.239
Te  0.500  0.000  0.761

=====

No. 4
This entry pairs a crystal structure of ScPt with its calculated powder X-ray diffraction pattern. Radiation: a wavelength of 1.5418 Å. Structure: a structure optimized by DFT (GGA-PBE).

Main lines, low angle first (2θ = 10–90°):
2theta, I_rel
18.7, 25
25.0, 36
28.1, 100
33.4, 25
34.6, 81
37.9, 77
40.6, 31
42.2, 65
45.2, 35
47.0, 24

Cell: 9.547 7.321 6.573 Å, 86.63 49.95 43.42°
Fractional coordinates of all 8 atoms:
Sc  0.006  0.744  0.006
Sc  0.256  0.994  0.256
Sc  0.744  0.006  0.744
Sc  0.994  0.256  0.994
Pt  0.272  0.272  0.478
Pt  0.478  0.478  0.272
Pt  0.522  0.522  0.728
Pt  0.728  0.728  0.522

=====

No. 5
This entry pairs a crystal structure of Ti10GaSb6 with its calculated powder X-ray diffraction pattern. Radiation: a wavelength of 1.5418 Å. Structure: a structure optimized by DFT (GGA-PBE).

Main lines, low angle first (2θ = 10–90°):
2theta, I_rel
27.3, 71
32.4, 32
37.6, 99
38.4, 91
39.4, 100
49.6, 43
56.2, 19
61.2, 21
73.3, 22
80.7, 19

Cell: 8.119 8.119 5.526 Å, 90.00 90.00 120.00°
Fractional coordinates of all 17 atoms:
Ti  0.000  0.262  0.265
Ti  0.000  0.738  0.735
Ti  0.262  0.000  0.265
Ti  0.262  0.262  0.735
Ti  0.333  0.667  0.000
Ti  0.333  0.667  0.500
Ti  0.667  0.333  0.000
Ti  0.667  0.333  0.500
Ti  0.738  0.000  0.735
Ti  0.738  0.738  0.265
Ga  0.000  0.000  0.000
Sb  0.000  0.386  0.753
Sb  0.000  0.614  0.247
Sb  0.386  0.000  0.753
Sb  0.386  0.386  0.247
Sb  0.614  0.000  0.247
Sb  0.614  0.614  0.753

=====

No. 6
This entry pairs a crystal structure of Sb3Ir with its calculated powder X-ray diffraction pattern. Radiation: a wavelength of 1.5418 Å. Structure: a structure optimized by DFT (GGA-PBE).

Main lines, low angle first (2θ = 10–90°):
2theta, I_rel
18.9, 53
26.9, 22
30.1, 100
35.8, 33
43.1, 81
47.4, 56
49.5, 29
66.0, 19
85.2, 20
88.3, 23

Cell: 8.133 8.133 8.133 Å, 109.47 109.47 109.47°
Fractional coordinates of all 16 atoms:
Sb  0.154  0.494  0.340
Sb  0.154  0.814  0.660
Sb  0.186  0.340  0.846
Sb  0.340  0.154  0.494
Sb  0.340  0.846  0.186
Sb  0.494  0.340  0.154
Sb  0.506  0.660  0.846
Sb  0.660  0.154  0.814
Sb  0.660  0.846  0.506
Sb  0.814  0.660  0.154
Sb  0.846  0.186  0.340
Sb  0.846  0.506  0.660
Ir  0.000  0.000  0.500
Ir  0.000  0.500  0.000
Ir  0.500  0.000  0.000
Ir  0.500  0.500  0.500